(1)
Mn6Re7: theoretical powder diffractogram (a wavelength of 1.5418 Å), based on a GGA-PBE-relaxed structure.

Atomic structure:
a = 5.0783 Å, b = 5.0783 Å, c = 26.3290 Å
α = 90.00°, β = 90.00°, γ = 120.00°
Space group R-3m (No. 166, hexagonal axes)
One atom of each set of equivalent atoms:
Mn 0.0000 0.0000 0.0418 x6
Mn 0.0000 0.0000 0.1503 x6
Mn 0.0000 0.0000 0.3349 x6
Re 0.0000 0.0000 0.5000 x3
Re 0.0039 0.5020 0.9150 x18

Top 12 peaks for 5 to 70 degrees two-theta, in order of falling intensity:
| h k l | two_theta | Rel. int. |
| --- | --- | --- |
| 0 0 12 | 41.1 | 100 |
| 2 0 5 | 44.7 | 66 |
| 0 0 6 | 20.2 | 59 |
| 1 0 1 | 20.5 | 47 |
| 0 2 1 | 41.2 | 45 |
| 0 2 7 | 47.9 | 45 |
| 2 0 2 | 41.6 | 30 |
| 0 1 11 | 43.0 | 27 |
| 1 0 4 | 24.3 | 20 |
| 0 3 6 | 67.3 | 15 |
| 1 2 11 | 68.8 | 14 |
| 0 2 4 | 43.4 | 13 |

(2)
K2Li2Ru: theoretical powder diffractogram (a wavelength of 1.5418 Å), based on a GGA-PBE-relaxed structure.

Atomic structure:
a = 6.471 Å, b = 6.471 Å, c = 7.770 Å
α = 90.00°, β = 90.00°, γ = 90.00°
Space group I4/mmm (No. 139)
One atom of each set of equivalent atoms:
K 0.000 0.500 0.250 x4
Li 0.000 0.000 0.183 x4
Ru 0.000 0.000 0.500 x2

Top 12 peaks for 5 to 70 degrees two-theta, in order of falling intensity:
| h k l | two_theta | Rel. int. |
| --- | --- | --- |
| 1 0 1 | 17.8 | 100 |
| 1 1 2 | 30.2 | 89 |
| 2 0 0 | 27.6 | 68 |
| 2 1 1 | 33.0 | 43 |
| 3 1 2 | 50.4 | 39 |
| 2 2 0 | 39.4 | 25 |
| 2 1 3 | 47.1 | 20 |
| 1 0 3 | 37.4 | 20 |
| 2 0 4 | 55.2 | 15 |
| 3 2 1 | 52.3 | 11 |
| 4 2 0 | 64.4 | 11 |
| 2 2 4 | 62.8 | 10 |

(3)
Pm5ThBi6: theoretical powder diffractogram (a wavelength of 1.5418 Å), based on a GGA-PBE-relaxed structure.

Atomic structure:
a = 7.938 Å, b = 13.742 Å, c = 7.937 Å
α = 90.00°, β = 109.47°, γ = 90.00°
Space group C2/m (No. 12)
One atom of each set of equivalent atoms:
Pm 0.000 0.000 0.000 x2
Pm 0.000 0.167 0.500 x4
Pm 0.000 0.333 0.000 x4
Th 0.000 0.500 0.500 x2
Bi 0.250 0.000 0.750 x4
Bi 0.250 0.167 0.250 x8

Top 8 peaks for 5 to 70 degrees two-theta, in order of falling intensity:
| h k l | two_theta | Rel. int. |
| --- | --- | --- |
| 1 3 1 | 27.5 | 100 |
| 2 0 2 | 39.3 | 79 |
| 4 6 0 | 64.3 | 38 |
| 4 0 0 | 48.7 | 29 |
| 2 6 2 | 56.8 | 14 |
| 2 0 0 | 23.8 | 3 |
| 3 3 1 | 46.5 | 2 |
| 4 0 2 | 62.5 | 1 |

(4)
Li3B4C4: theoretical powder diffractogram (a wavelength of 1.5418 Å), based on a GGA-PBE-relaxed structure.

Atomic structure:
a = 29.123 Å, b = 2.733 Å, c = 4.705 Å
α = 90.00°, β = 98.24°, γ = 90.00°
Space group C2/m (No. 12)
One atom of each set of equivalent atoms:
Li 0.000 0.000 0.000 x2
Li 0.000 0.500 0.500 x2
Li 0.125 0.000 0.125 x4
Li 0.250 0.000 0.251 x4
B 0.061 0.500 0.223 x4
B 0.063 0.000 0.721 x4
B 0.187 0.000 0.530 x4
B 0.189 0.500 0.028 x4
C 0.060 0.000 0.385 x4
C 0.062 0.500 0.888 x4
C 0.188 0.500 0.363 x4
C 0.190 0.000 0.866 x4

Top 12 peaks for 5 to 70 degrees two-theta, in order of falling intensity:
| h k l | two_theta | Rel. int. |
| --- | --- | --- |
| 8 0 0 | 24.7 | 100 |
| 6 0 2 | 45.7 | 26 |
| 9 1 -1 | 46.1 | 18 |
| 16 0 0 | 50.7 | 17 |
| 3 1 -3 | 69.0 | 11 |
| 10 0 -2 | 46.5 | 8 |
| 4 0 0 | 12.3 | 8 |
| 0 2 0 | 68.7 | 6 |
| 1 1 -1 | 38.1 | 5 |
| 2 0 -2 | 38.3 | 3 |
| 5 1 -1 | 40.3 | 2 |
| 11 1 1 | 54.2 | 1 |